Simulated X-ray diffraction stick pattern of La2Pm4In for λ = 1.5418 Å (Cu Kα), from a cell relaxed with GGA-PBE.

Cell and atoms:
a = 6.6201 Å, b = 6.4044 Å, c = 11.0764 Å
α = 90.00°, β = 90.00°, γ = 90.00°
Space group Pmna (No. 53)
Symmetry-distinct sites (fractional):
La 0.0000 0.2440 0.0460 (multiplicity 4)
Pm 0.0000 0.0690 0.3470 (multiplicity 4)
Pm 0.2500 0.3900 0.7500 (multiplicity 4)
In 0.0000 0.5000 0.5000 (multiplicity 2)

Peak list (12 most intense, 10 to 90 degrees two-theta, low angle first)
| two_theta | intensity | h k l |
| --- | --- | --- |
| 27.66 | 30 | 1 0 3 |
| 27.89 | 46 | 0 1 3 |
| 29.03 | 51 | 0 2 1 |
| 30.40 | 29 | 2 1 0 |
| 31.05 | 54 | 1 1 3 |
| 31.48 | 100 | 2 0 2 |
| 32.08 | 81 | 1 2 1 |
| 34.54 | 51 | 2 1 2 |
| 35.31 | 39 | 0 1 4 |
| 50.93 | 24 | 3 2 1 |
| 60.20 | 36 | 0 3 5 |
| 86.38 | 27 | 4 3 5 |